Entry 1:
In2Sb2S: calculated powder XRD pattern (λ = 1.5418 Å (Cu Kα)), based on a GGA-PBE-relaxed structure.

Top 10 peaks for 10 to 80 degrees two-theta, low angle first:
- 16.43 deg, I = 15
- 23.31 deg, I = 12
- 24.52 deg, I = 15
- 31.94 deg, I = 100
- 36.63 deg, I = 22
- 37.26 deg, I = 17
- 42.72 deg, I = 12
- 52.87 deg, I = 12
- 53.25 deg, I = 12
- 63.03 deg, I = 14

Crystal structure
a = 7.632 Å, b = 7.632 Å, c = 4.906 Å
α = 90.00°, β = 90.00°, γ = 90.00°
Atoms (fractional coordinates):
In 0.193 0.307 0.000
In 0.307 0.807 0.000
In 0.693 0.193 0.000
In 0.807 0.693 0.000
Sb 0.128 0.628 0.500
Sb 0.372 0.128 0.500
Sb 0.628 0.872 0.500
Sb 0.872 0.372 0.500
S 0.000 0.000 0.000
S 0.500 0.500 0.000

***

Entry 2:
In2SbS4: calculated powder XRD pattern (λ = 1.5418 Å (Cu Kα)), based on a GGA-PBE-relaxed structure.

Top 10 peaks for 10 to 80 degrees two-theta, low angle first:
- 24.70 deg, I = 100
- 25.28 deg, I = 21
- 27.92 deg, I = 32
- 32.29 deg, I = 56
- 34.44 deg, I = 59
- 42.36 deg, I = 44
- 45.01 deg, I = 31
- 47.66 deg, I = 42
- 47.74 deg, I = 23
- 54.37 deg, I = 23

Crystal structure
a = 6.634 Å, b = 6.634 Å, c = 13.134 Å
α = 90.00°, β = 90.00°, γ = 146.55°
Atoms (fractional coordinates):
In 0.137 0.863 0.560
In 0.137 0.863 0.940
In 0.863 0.137 0.060
In 0.863 0.137 0.440
Sb 0.397 0.603 0.750
Sb 0.603 0.397 0.250
S 0.036 0.964 0.750
S 0.233 0.767 0.121
S 0.233 0.767 0.379
S 0.500 0.500 0.000
S 0.500 0.500 0.500
S 0.767 0.233 0.621
S 0.767 0.233 0.879
S 0.964 0.036 0.250

***

Entry 3:
In4Se3S2: calculated powder XRD pattern (λ = 1.5418 Å (Cu Kα)), based on a GGA-PBE-relaxed structure.

Top 10 peaks for 10 to 80 degrees two-theta, low angle first:
- 13.68 deg, I = 36
- 29.67 deg, I = 100
- 31.01 deg, I = 91
- 33.88 deg, I = 80
- 39.36 deg, I = 31
- 43.21 deg, I = 30
- 45.15 deg, I = 29
- 47.25 deg, I = 35
- 47.98 deg, I = 34
- 56.46 deg, I = 31

Crystal structure
a = 6.898 Å, b = 6.898 Å, c = 9.350 Å
α = 101.61°, β = 101.61°, γ = 32.63°
Atoms (fractional coordinates):
In 0.049 0.049 0.216
In 0.340 0.340 0.379
In 0.660 0.660 0.621
In 0.951 0.951 0.784
Se 0.000 0.000 0.500
Se 0.408 0.408 0.116
Se 0.592 0.592 0.884
S 0.300 0.300 0.680
S 0.700 0.700 0.320